Structure and simulated powder X-ray diffraction pattern of AcMg4Ag4 (a structure optimized by DFT (GGA-PBE); Cu Kα, 1.54184 Å).
No peak broadening, texture or thermal motion is included.

Structure:
Cell: 6.7316 6.7316 9.2853 Å, 90.00 90.00 90.00°
Space group P4_2/nmc (No. 137, origin choice 2)
One atom of each set of equivalent atoms:
Ac1 0.2500 0.7500 0.2500 x2
Mg1 0.0123 0.2500 0.1431 x8
Ag1 0.0435 0.2500 0.4432 x8

Top 6 peaks for 5 to 70 degrees two-theta, low angle first:
- 26.82 deg, I 57
- 28.20 deg, I 57
- 31.23 deg, I 100
- 31.82 deg, I 57
- 42.69 deg, I 41
- 50.22 deg, I 37

***

Structure and simulated powder X-ray diffraction pattern of AcMg5Ag3 (a structure optimized by DFT (GGA-PBE); Cu Kα, 1.54184 Å).
No peak broadening, texture or thermal motion is included.

Structure:
Cell: 4.4273 14.4549 13.5497 Å, 90.00 90.00 90.00°
Space group Cmcm (No. 63)
One atom of each set of equivalent atoms:
Ac1 0.0000 0.1645 0.2500 x4
Mg1 0.0000 0.0000 0.0000 x4
Mg2 0.0000 0.1993 0.5560 x8
Mg3 0.0000 0.4365 0.1435 x8
Ag1 0.0000 0.1351 0.7500 x4
Ag2 0.0000 0.3868 0.5597 x8

Top 6 peaks for 5 to 70 degrees two-theta, low angle first:
- 24.64 deg, I 44
- 24.80 deg, I 73
- 28.91 deg, I 53
- 30.43 deg, I 100
- 40.76 deg, I 33
- 49.13 deg, I 37

***

Structure and simulated powder X-ray diffraction pattern of Ac3Mg2Ag3 (a structure optimized by DFT (GGA-PBE); Cu Kα, 1.54184 Å).
No peak broadening, texture or thermal motion is included.

Structure:
Cell: 8.5779 16.3861 6.8238 Å, 90.00 90.00 90.00°
Space group Pnma (No. 62)
One atom of each set of equivalent atoms:
Ac1 0.0361 0.1091 0.1493 x8
Ac2 0.1873 0.2500 0.6162 x4
Mg1 0.1063 0.5953 0.3649 x8
Ag1 0.1765 0.7500 0.5895 x4
Ag2 0.1971 0.0423 0.5787 x8

Top 6 peaks for 5 to 70 degrees two-theta, low angle first:
- 25.12 deg, I 44
- 27.44 deg, I 53
- 28.15 deg, I 58
- 30.18 deg, I 100
- 32.66 deg, I 46
- 34.00 deg, I 50

***

Structure and simulated powder X-ray diffraction pattern of Ac3MgAg3 (a structure optimized by DFT (GGA-PBE); Cu Kα, 1.54184 Å).
No peak broadening, texture or thermal motion is included.

Structure:
Cell: 8.4974 11.9551 8.7008 Å, 90.00 99.10 90.00°
Space group C2/m (No. 12)
One atom of each set of equivalent atoms:
Ac1 0.0000 0.1893 0.0000 x4
Ac2 0.0000 0.2436 0.5000 x4
Ac3 0.1235 0.5000 0.8332 x4
Mg1 0.2310 0.5000 0.4700 x4
Ag1 0.0096 0.0000 0.2879 x4
Ag2 0.2203 0.3615 0.2150 x8

Top 6 peaks for 5 to 70 degrees two-theta, low angle first:
- 25.54 deg, I 78
- 27.51 deg, I 81
- 31.17 deg, I 100
- 32.09 deg, I 35
- 32.91 deg, I 53
- 33.55 deg, I 35